Entry 1:
For TaCoAs, a crystal structure in Alexandria, relaxed with GGA-PBE gives the computed X-ray powder pattern in this record (Cu Kα, 1.54184 Å).
Neutral-atom scattering factors, no anomalous dispersion.

The 6 most intense peaks (10 to 90 degrees two-theta), low angle first:
Position (°2θ)	intensity
26.9	18
37.6	95
39.5	100
40.4	33
45.1	35
48.6	32

Atomic structure:
a = 6.286 Å, b = 3.745 Å, c = 7.167 Å
α = 90.00°, β = 90.00°, γ = 90.00°
Space group Pnma (No. 62)
Asymmetric unit:
Ta: 0.022 0.250 0.171 [4 per cell]
Co: 0.157 0.250 0.567 [4 per cell]
As: 0.217 0.750 0.379 [4 per cell]



Entry 2:
For Cd2In8Au, a crystal structure in Alexandria, relaxed with GGA-PBE gives the computed X-ray powder pattern in this record (Cu Kα, 1.54184 Å).
Neutral-atom scattering factors, no anomalous dispersion.

The 6 most intense peaks (10 to 90 degrees two-theta), low angle first:
Position (°2θ)	intensity
23.4	8
34.2	100
37.9	44
54.6	15
58.6	13
66.0	28

Atomic structure:
a = 4.754 Å, b = 4.754 Å, c = 12.610 Å
α = 90.00°, β = 90.00°, γ = 90.00°
Space group P4/mmm (No. 123)
Asymmetric unit:
Cd: 0.000 0.000 0.175 [2 per cell]
In: 0.000 0.500 0.000 [2 per cell]
In: 0.000 0.500 0.365 [4 per cell]
In: 0.500 0.500 0.189 [2 per cell]
Au: 0.000 0.000 0.500 [1 per cell]



Entry 3:
For Ac2LaTl5, a crystal structure in Alexandria, relaxed with GGA-PBE gives the computed X-ray powder pattern in this record (Cu Kα, 1.54184 Å).
Neutral-atom scattering factors, no anomalous dispersion.

The 6 most intense peaks (10 to 90 degrees two-theta), low angle first:
Position (°2θ)	intensity
31.3	54
31.5	100
44.8	20
55.8	41
56.3	17
65.8	11

Atomic structure:
a = 5.721 Å, b = 5.721 Å, c = 15.935 Å
α = 90.00°, β = 90.00°, γ = 90.00°
Space group I4/mmm (No. 139)
Asymmetric unit:
Ac: 0.000 0.000 0.238 [4 per cell]
La: 0.000 0.000 0.500 [2 per cell]
Tl: 0.000 0.000 0.000 [2 per cell]
Tl: 0.000 0.500 0.116 [8 per cell]



Entry 4:
For KSnSb, a crystal structure in Alexandria, relaxed with GGA-PBE gives the computed X-ray powder pattern in this record (Cu Kα, 1.54184 Å).
Neutral-atom scattering factors, no anomalous dispersion.

The 6 most intense peaks (10 to 90 degrees two-theta), low angle first:
Position (°2θ)	intensity
11.1	100
23.6	31
28.5	35
30.9	31
33.0	30
33.7	36

Atomic structure:
a = 7.941 Å, b = 6.706 Å, c = 8.704 Å
α = 90.00°, β = 91.49°, γ = 90.00°
Space group P2_1/c (No. 14)
Asymmetric unit:
K: 0.164 0.099 0.300 [4 per cell]
Sn: 0.498 0.213 0.061 [4 per cell]
Sb: 0.291 0.601 0.170 [4 per cell]